Entry 1:
# Na2PaRh3O8
Theoretical powder diffractogram, copper Kα. Input: a DFT-relaxed cell (PBE, Alexandria).
Lines closer than 0.1° are merged.

Principal peaks in the range 2θ from 5° to 70°, in order of falling intensity:
2θ 14.94, d 5.931, I 100
2θ 38.95, d 2.312, I 40
2θ 33.49, d 2.676, I 37
2θ 34.64, d 2.590, I 23
2θ 41.95, d 2.154, I 21
2θ 30.12, d 2.967, I 18
2θ 49.17, d 1.853, I 17
2θ 61.34, d 1.511, I 14
2θ 59.11, d 1.563, I 13
2θ 53.31, d 1.719, I 13

Structural model:
```
data_Na2PaRh3O8
_chemical_formula_sum 'Na2 Pa1 Rh3 O8'
_symmetry_space_group_name_H-M 'P 1'
_symmetry_Int_Tables_number 1
_symmetry_space_group_name_Hall 'P 1'
_cell_length_a 6.251
_cell_length_b 6.251
_cell_length_c 6.946
_cell_angle_alpha 116.78
_cell_angle_beta 116.78
_cell_angle_gamma 60.00
loop_
_atom_site_label
_atom_site_type_symbol
_atom_site_fract_x
_atom_site_fract_y
_atom_site_fract_z
Na1 Na 0.000 0.000 0.000
Na2 Na 0.664 0.664 0.990
Pa1 Pa 0.172 0.172 0.514
Rh1 Rh 0.163 0.657 0.476
Rh2 Rh 0.657 0.163 0.476
Rh3 Rh 0.657 0.657 0.476
O1 O 0.407 0.407 0.677
O2 O 0.407 0.864 0.677
O3 O 0.434 0.928 0.289
O4 O 0.437 0.437 0.310
O5 O 0.864 0.407 0.677
O6 O 0.880 0.880 0.640
O7 O 0.928 0.434 0.289
O8 O 0.928 0.928 0.289
```

Entry 2:
# Nd12Co2Hg5
Theoretical powder diffractogram, copper Kα. Input: a DFT-relaxed cell (PBE, Alexandria).
Lines closer than 0.1° are merged.

Principal peaks in the range 2θ from 5° to 70°, in order of falling intensity:
2θ 29.76, d 3.002, I 100
2θ 33.71, d 2.659, I 87
2θ 32.12, d 2.787, I 68
2θ 21.08, d 4.215, I 67
2θ 20.10, d 4.417, I 65
2θ 33.19, d 2.699, I 61
2θ 35.61, d 2.521, I 57
2θ 47.33, d 1.921, I 40
2θ 40.67, d 2.218, I 38
2θ 39.47, d 2.283, I 28

Structural model:
```
data_Nd12Co2Hg5
_chemical_formula_sum 'Nd12 Co2 Hg5'
_symmetry_space_group_name_H-M 'P 1'
_symmetry_Int_Tables_number 1
_symmetry_space_group_name_Hall 'P 1'
_cell_length_a 9.321
_cell_length_b 9.321
_cell_length_c 10.084
_cell_angle_alpha 105.93
_cell_angle_beta 105.93
_cell_angle_gamma 48.67
loop_
_atom_site_label
_atom_site_type_symbol
_atom_site_fract_x
_atom_site_fract_y
_atom_site_fract_z
Nd1 Nd 0.000 0.000 0.230
Nd2 Nd 0.000 0.000 0.770
Nd3 Nd 0.072 0.609 0.920
Nd4 Nd 0.099 0.599 0.427
Nd5 Nd 0.391 0.928 0.080
Nd6 Nd 0.401 0.901 0.573
Nd7 Nd 0.499 0.499 0.817
Nd8 Nd 0.501 0.501 0.183
Nd9 Nd 0.599 0.099 0.427
Nd10 Nd 0.609 0.072 0.920
Nd11 Nd 0.901 0.401 0.573
Nd12 Nd 0.928 0.391 0.080
Co1 Co 0.207 0.793 0.000
Co2 Co 0.793 0.207 0.000
Hg1 Hg 0.194 0.194 0.836
Hg2 Hg 0.197 0.197 0.360
Hg3 Hg 0.500 0.500 0.500
Hg4 Hg 0.803 0.803 0.640
Hg5 Hg 0.806 0.806 0.164
```

Entry 3:
# AgPbAu3
Theoretical powder diffractogram, copper Kα. Input: a DFT-relaxed cell (PBE, Alexandria).
Lines closer than 0.1° are merged.

Principal peaks in the range 2θ from 5° to 70°, in order of falling intensity:
2θ 38.62, d 2.331, I 100
2θ 35.62, d 2.521, I 85
2θ 39.32, d 2.291, I 79
2θ 38.22, d 2.355, I 74
2θ 37.41, d 2.404, I 26
2θ 33.39, d 2.683, I 23
2θ 34.19, d 2.623, I 23
2θ 67.40, d 1.389, I 22
2θ 29.94, d 2.984, I 20
2θ 30.47, d 2.934, I 19

Structural model:
```
data_AgPbAu3
_chemical_formula_sum 'Ag2 Pb2 Au6'
_symmetry_space_group_name_H-M 'P 1'
_symmetry_Int_Tables_number 1
_symmetry_space_group_name_Hall 'P 1'
_cell_length_a 5.970
_cell_length_b 4.709
_cell_length_c 7.905
_cell_angle_alpha 90.00
_cell_angle_beta 110.53
_cell_angle_gamma 90.00
loop_
_atom_site_label
_atom_site_type_symbol
_atom_site_fract_x
_atom_site_fract_y
_atom_site_fract_z
Ag1 Ag 0.173 0.250 0.081
Ag2 Ag 0.827 0.750 0.919
Pb1 Pb 0.202 0.750 0.697
Pb2 Pb 0.798 0.250 0.303
Au1 Au 0.145 0.750 0.282
Au2 Au 0.349 0.250 0.490
Au3 Au 0.488 0.750 0.106
Au4 Au 0.512 0.250 0.894
Au5 Au 0.651 0.750 0.510
Au6 Au 0.855 0.250 0.718
```

Q: Number 2 is which compound?
A: Nd12Co2Hg5